Theoretical powder diffractogram
Compound: RbV2FeAg2O8
Radiation: copper Kα
Structure: DFT lattice parameters and positions (GGA+U)
Neutral-atom scattering factors, no anomalous dispersion.

Largest 10 diffraction maxima, by angle, 2θ from 10° to 90°:
2theta	Rel. int.	index
21.93	16	0 1 1
30.03	94	1 0 2
32.35	100	1 1 0
40.32	20	1 1 2
44.72	35	0 2 2
56.26	31	3 -1 2
57.70	23	3 0 0
59.01	35	1 1 4
78.18	18	3 0 4
87.16	14	4 -2 4

Structural model:
Cell: 5.5349 5.5349 7.5919 Å, 90.00 90.00 120.00°
Fractional coordinates of all 14 atoms:
Rb1 0.0000 0.0000 0.0000
V1 0.3333 0.6667 0.7282
V2 0.6667 0.3333 0.2718
Fe1 0.0000 0.0000 0.5000
Ag1 0.3333 0.6667 0.2625
Ag2 0.6667 0.3333 0.7375
O1 0.0750 0.3299 0.6560
O2 0.2549 0.9250 0.6560
O3 0.3299 0.2549 0.3440
O4 0.3333 0.6667 0.9507
O5 0.6667 0.3333 0.0493
O6 0.6701 0.7451 0.6560
O7 0.7451 0.0750 0.3440
O8 0.9250 0.6701 0.3440